1.
Structure and calculated XRD peak list of Nd12ErTm6 (DFT lattice parameters and positions (GGA-PBE); λ = 1.5418 Å (Cu Kα)).
No peak broadening, texture or thermal motion is included.

Atomic structure:
abc: 15.7256 15.7256 8.8560
angles: 90.00 90.00 120.00
Space group R-3 (No. 148, hexagonal axes)
Symmetry-distinct sites (fractional):
Nd  0.0353  0.2793  0.3366 x18
Nd  0.0712  0.5621  0.6661 x18
Er  0.0000  0.0000  0.0000 x3
Tm  0.0168  0.1369  0.6656 x18

Largest 10 diffraction maxima, by angle, 2θ = 15–90°:
hkl 3 2 1, 2θ 30.32, d = 2.948 Å, I = 100
hkl 5 -3 2, 2θ 35.15, d = 2.553 Å, I = 51
hkl 3 2 4, 2θ 50.56, d = 1.805 Å, I = 36
hkl 5 -3 5, 2θ 60.09, d = 1.540 Å, I = 32
hkl 10 -6 1, 2θ 60.15, d = 1.538 Å, I = 11
hkl 6 4 2, 2θ 63.11, d = 1.473 Å, I = 9
hkl 10 -6 4, 2θ 74.31, d = 1.276 Å, I = 6
hkl 6 4 5, 2θ 82.36, d = 1.171 Å, I = 13
hkl 1 7 6, 2θ 84.89, d = 1.142 Å, I = 8
hkl 13 -4 2, 2θ 85.01, d = 1.141 Å, I = 8



2.
Structure and calculated XRD peak list of LaPr2N2 (DFT lattice parameters and positions (GGA-PBE); λ = 1.5418 Å (Cu Kα)).
No peak broadening, texture or thermal motion is included.

Atomic structure:
abc: 3.6909 3.6909 28.6907
angles: 90.00 90.00 120.00
Space group R-3m (No. 166, hexagonal axes)
Symmetry-distinct sites (fractional):
La  0.0000  0.0000  0.0000 x3
Pr  0.0000  0.0000  0.2318 x6
N  0.0000  0.0000  0.3909 x6

Largest 10 diffraction maxima, by angle, 2θ = 15–90°:
hkl 0 0 9, 2θ 27.99, d = 3.188 Å, I = 39
hkl 1 0 1, 2θ 28.09, d = 3.177 Å, I = 20
hkl 0 1 2, 2θ 28.61, d = 3.120 Å, I = 16
hkl 1 0 4, 2θ 30.62, d = 2.920 Å, I = 100
hkl 0 1 5, 2θ 32.05, d = 2.792 Å, I = 67
hkl 0 1 8, 2θ 37.69, d = 2.387 Å, I = 51
hkl 1 1 0, 2θ 49.38, d = 1.845 Å, I = 39
hkl 1 0 13, 2θ 50.24, d = 1.816 Å, I = 36
hkl 1 1 9, 2θ 57.73, d = 1.597 Å, I = 35
hkl 1 0 22, 2θ 79.40, d = 1.207 Å, I = 17



3.
Structure and calculated XRD peak list of Sm4Dy2Er3 (DFT lattice parameters and positions (GGA-PBE); λ = 1.5418 Å (Cu Kα)).
No peak broadening, texture or thermal motion is included.

Atomic structure:
abc: 9.7586 16.8548 7.0256
angles: 90.00 90.00 90.00
Space group Cccm (No. 66)
Symmetry-distinct sites (fractional):
Sm  0.1456  0.1740  0.0000 x8
Sm  0.1649  0.4836  0.0000 x8
Dy  0.1893  0.1594  0.5000 x8
Er  0.0000  0.0000  0.2500 x4
Er  0.0000  0.3306  0.2500 x8

Largest 10 diffraction maxima, by angle, 2θ = 15–90°:
hkl 1 5 1, 2θ 30.79, d = 2.904 Å, I = 12
hkl 2 0 2, 2θ 31.39, d = 2.849 Å, I = 100
hkl 3 3 0, 2θ 31.81, d = 2.813 Å, I = 98
hkl 2 6 2, 2θ 45.30, d = 2.002 Å, I = 34
hkl 0 0 4, 2θ 52.07, d = 1.756 Å, I = 9
hkl 5 3 2, 2θ 56.38, d = 1.632 Å, I = 22
hkl 1 9 2, 2θ 56.48, d = 1.629 Å, I = 11
hkl 3 9 0, 2θ 56.72, d = 1.623 Å, I = 10
hkl 3 3 4, 2θ 62.32, d = 1.490 Å, I = 29
hkl 5 9 2, 2θ 75.40, d = 1.261 Å, I = 8



4.
Structure and calculated XRD peak list of Ho2ScPb2O2 (DFT lattice parameters and positions (GGA-PBE); λ = 1.5418 Å (Cu Kα)).
No peak broadening, texture or thermal motion is included.

Atomic structure:
abc: 4.1350 4.1350 16.3659
angles: 90.00 90.00 90.00
Space group I4/mmm (No. 139)
Symmetry-distinct sites (fractional):
Ho  0.0000  0.0000  0.1016 x4
Sc  0.0000  0.0000  0.5000 x2
Pb  0.0000  0.0000  0.3030 x4
O  0.0000  0.5000  0.0000 x4

Largest 10 diffraction maxima, by angle, 2θ = 15–90°:
hkl 1 0 3, 2θ 27.06, d = 3.295 Å, I = 11
hkl 1 1 0, 2θ 30.57, d = 2.924 Å, I = 65
hkl 1 0 5, 2θ 34.96, d = 2.566 Å, I = 100
hkl 2 0 0, 2θ 43.79, d = 2.068 Å, I = 29
hkl 2 1 5, 2θ 57.22, d = 1.610 Å, I = 49
hkl 2 2 0, 2θ 63.65, d = 1.462 Å, I = 10
hkl 1 1 10, 2θ 65.34, d = 1.428 Å, I = 15
hkl 3 1 0, 2θ 72.25, d = 1.308 Å, I = 12
hkl 2 0 10, 2θ 73.85, d = 1.283 Å, I = 12
hkl 3 0 5, 2θ 74.73, d = 1.270 Å, I = 11



What is the formula in the first record? Nd12ErTm6